No. 1
Theoretical powder diffraction line list
Compound: RuC8N6
Radiation: CuKα
Structure: a structure optimized by DFT (GGA-PBE)

Cell and atoms:
```
RuC8N6
1.0
7.2596 0.0000 0.0000
0.0000 5.1838 0.0000
0.0000 0.0000 10.4081
Ru C N
2 16 12
Direct
0.0000 0.0000 0.0000 Ru
0.5000 0.0000 0.5000 Ru
0.0000 0.3805 0.2421 C
0.0000 0.4281 0.6621 C
0.0000 0.5719 0.3379 C
0.0000 0.6195 0.7579 C
0.1634 0.3147 0.6173 C
0.1634 0.6853 0.3827 C
0.3366 0.3147 0.8827 C
0.3366 0.6853 0.1173 C
0.5000 0.3805 0.2579 C
0.5000 0.4281 0.8379 C
0.5000 0.5719 0.1621 C
0.5000 0.6195 0.7421 C
0.6634 0.3147 0.8827 C
0.6634 0.6853 0.1173 C
0.8366 0.3147 0.6173 C
0.8366 0.6853 0.3827 C
0.0000 0.2276 0.1590 N
0.0000 0.7724 0.8410 N
0.2061 0.2106 0.9239 N
0.2061 0.7894 0.0761 N
0.2939 0.2106 0.5761 N
0.2939 0.7894 0.4239 N
0.5000 0.2276 0.3410 N
0.5000 0.7724 0.6590 N
0.7061 0.2106 0.5761 N
0.7061 0.7894 0.4239 N
0.7939 0.2106 0.9239 N
0.7939 0.7894 0.0761 N
```

The 10 most intense peaks (10 to 90 degrees two-theta), most intense first:
2θ/deg	intensity
22.74	100
14.88	88
24.23	48
17.06	38
34.75	29
46.42	23
28.51	21
45.43	16
24.52	15
31.02	14

---

No. 2
Theoretical powder diffraction line list
Compound: Sm8CS3N3
Radiation: CuKα
Structure: a structure optimized by DFT (GGA-PBE)

Cell and atoms:
```
Sm8CS3N3
1.0
3.7276 2.1522 6.4165
-3.7276 2.1522 6.4165
0.0000 -4.3043 6.4165
Sm C S N
8 1 3 3
Direct
0.2357 0.7391 0.7391 Sm
0.2369 0.2369 0.2369 Sm
0.2609 0.2609 0.7643 Sm
0.2609 0.7643 0.2609 Sm
0.7391 0.2357 0.7391 Sm
0.7391 0.7391 0.2357 Sm
0.7631 0.7631 0.7631 Sm
0.7643 0.2609 0.2609 Sm
0.5000 0.5000 0.5000 C
0.0000 0.5000 0.5000 S
0.5000 0.0000 0.5000 S
0.5000 0.5000 0.0000 S
0.0000 0.0000 0.5000 N
0.0000 0.5000 0.0000 N
0.5000 0.0000 0.0000 N
```

The 10 most intense peaks (10 to 90 degrees two-theta), most intense first:
2θ/deg	intensity
33.42	100
29.18	90
48.87	37
47.11	28
27.81	27
57.16	23
60.50	18
81.36	15
57.93	14
36.32	12